Diffraction record for NaSr3H6Rh2. The PXRD pattern is simulated, not measured: it uses a cell relaxed with PBE and Cu Kα.
No peak broadening, texture or thermal motion is included.

Principal peaks in the range 10° ≤ 2θ ≤ 90°, in order of falling intensity:
32.33°, intensity 100
32.82°, intensity 94
57.97°, intensity 36
46.74°, intensity 36
57.65°, intensity 19
58.91°, intensity 17

Unit cell a=5.5386 b=5.5386 c=6.6353 alpha=90.00 beta=90.00 gamma=120.00
Fractional positions:
Na (0.0000, 0.0000, 0.0000)
Sr (0.0000, 0.0000, 0.5000)
Sr (0.3333, 0.6667, 0.1887)
Sr (0.6667, 0.3333, 0.8113)
H (0.1815, 0.3629, 0.7987)
H (0.1815, 0.8185, 0.7987)
H (0.3629, 0.1815, 0.2013)
H (0.6371, 0.8185, 0.7987)
H (0.8185, 0.1815, 0.2013)
H (0.8185, 0.6371, 0.2013)
Rh (0.3333, 0.6667, 0.6645)
Rh (0.6667, 0.3333, 0.3355)

***

Diffraction record for Sr2ZnSnPd6. The PXRD pattern is simulated, not measured: it uses a cell relaxed with PBE and Cu Kα.
No peak broadening, texture or thermal motion is included.

Principal peaks in the range 10° ≤ 2θ ≤ 90°, in order of falling intensity:
30.91°, intensity 100
41.79°, intensity 82
16.45°, intensity 71
37.61°, intensity 60
40.59°, intensity 58
30.97°, intensity 53

Unit cell a=6.6755 b=6.6771 c=6.7004 alpha=61.64 beta=61.70 gamma=61.68
Fractional positions:
Sr (0.2010, 0.2004, 0.2018)
Sr (0.7990, 0.7996, 0.7982)
Zn (0.0000, 0.0000, 0.0000)
Sn (0.5000, 0.5000, 0.5000)
Pd (0.1603, 0.3214, 0.6311)
Pd (0.3224, 0.6317, 0.1605)
Pd (0.3677, 0.8389, 0.6789)
Pd (0.6323, 0.1611, 0.3211)
Pd (0.6776, 0.3683, 0.8395)
Pd (0.8397, 0.6786, 0.3689)

***

Diffraction record for Tb4ThSc2. The PXRD pattern is simulated, not measured: it uses a cell relaxed with PBE and Cu Kα.
No peak broadening, texture or thermal motion is included.

Principal peaks in the range 10° ≤ 2θ ≤ 90°, in order of falling intensity:
34.38°, intensity 100
32.25°, intensity 54
25.37°, intensity 30
49.32°, intensity 30
27.97°, intensity 25
58.85°, intensity 21

Unit cell a=11.1026 b=11.1026 c=3.4916 alpha=90.00 beta=90.00 gamma=90.04
Fractional positions:
Tb (0.0310, 0.2500, 0.0012)
Tb (0.2500, 0.0310, 0.9988)
Tb (0.2500, 0.4690, 0.9988)
Tb (0.4690, 0.2500, 0.0012)
Tb (0.5310, 0.7500, 0.9988)
Tb (0.7500, 0.5310, 0.0012)
Tb (0.7500, 0.9690, 0.0012)
Tb (0.9690, 0.7500, 0.9988)
Th (0.2500, 0.7500, 0.4962)
Th (0.7500, 0.2500, 0.5038)
Sc (0.0000, 0.0000, 0.5000)
Sc (0.0000, 0.5000, 0.5000)
Sc (0.5000, 0.0000, 0.5000)
Sc (0.5000, 0.5000, 0.5000)

***

Diffraction record for HgNCl3. The PXRD pattern is simulated, not measured: it uses a cell relaxed with PBE and Cu Kα.
No peak broadening, texture or thermal motion is included.

Principal peaks in the range 10° ≤ 2θ ≤ 90°, in order of falling intensity:
10.98°, intensity 100
26.74°, intensity 38
22.48°, intensity 34
19.74°, intensity 32
14.89°, intensity 27
29.81°, intensity 16

Unit cell a=4.0719 b=8.1817 c=9.1311 alpha=87.30 beta=80.07 gamma=79.97
Fractional positions:
Hg (0.0598, 0.0581, 0.2111)
Hg (0.9402, 0.9419, 0.7889)
N (0.3585, 0.2242, 0.2793)
N (0.6415, 0.7758, 0.7207)
Cl (0.1939, 0.1582, 0.8623)
Cl (0.2422, 0.4230, 0.2021)
Cl (0.2640, 0.2368, 0.4768)
Cl (0.7360, 0.7632, 0.5232)
Cl (0.7578, 0.5770, 0.7979)
Cl (0.8061, 0.8418, 0.1377)

***

Diffraction record for MgMnRu2. The PXRD pattern is simulated, not measured: it uses a cell relaxed with PBE and Cu Kα.
No peak broadening, texture or thermal motion is included.

Principal peaks in the range 10° ≤ 2θ ≤ 90°, in order of falling intensity:
41.51°, intensity 100
42.72°, intensity 50
77.40°, intensity 30
29.85°, intensity 25
13.99°, intensity 21
62.01°, intensity 17

Unit cell a=2.9936 b=2.9936 c=6.3322 alpha=90.00 beta=90.00 gamma=90.00
Fractional positions:
Mg (0.0000, 0.0000, 0.0000)
Mn (0.0000, 0.0000, 0.5000)
Ru (0.5000, 0.5000, 0.2755)
Ru (0.5000, 0.5000, 0.7245)

***

Diffraction record for LaGa2SiNi2. The PXRD pattern is simulated, not measured: it uses a cell relaxed with PBE and Cu Kα.
No peak broadening, texture or thermal motion is included.

Principal peaks in the range 10° ≤ 2θ ≤ 90°, in order of falling intensity:
37.77°, intensity 100
33.20°, intensity 86
41.70°, intensity 76
57.51°, intensity 57
29.15°, intensity 34
25.83°, intensity 29

Unit cell a=4.3322 b=4.3322 c=5.7036 alpha=90.00 beta=90.00 gamma=90.00
Fractional positions:
La (0.0000, 0.0000, 0.0000)
Ga (0.5000, 0.5000, 0.2453)
Ga (0.5000, 0.5000, 0.7547)
Si (0.0000, 0.0000, 0.5000)
Ni (0.0000, 0.5000, 0.5000)
Ni (0.5000, 0.0000, 0.5000)

***

Diffraction record for BiHSe2Br. The PXRD pattern is simulated, not measured: it uses a cell relaxed with PBE and Cu Kα.
No peak broadening, texture or thermal motion is included.

Principal peaks in the range 10° ≤ 2θ ≤ 90°, in order of falling intensity:
33.63°, intensity 100
31.56°, intensity 30
42.33°, intensity 27
53.75°, intensity 27
71.87°, intensity 22
57.53°, intensity 22

Unit cell a=4.2700 b=4.2700 c=5.6699 alpha=90.00 beta=90.00 gamma=90.00
Fractional positions:
Bi (0.0000, 0.0000, 0.0000)
H (0.5000, 0.5000, 0.5000)
Se (0.0000, 0.5000, 0.5000)
Se (0.5000, 0.0000, 0.5000)
Br (0.5000, 0.5000, 0.0000)

***

Diffraction record for Tl4AuSe3. The PXRD pattern is simulated, not measured: it uses a cell relaxed with PBE and Cu Kα.
No peak broadening, texture or thermal motion is included.

Principal peaks in the range 10° ≤ 2θ ≤ 90°, in order of falling intensity:
31.42°, intensity 100
27.41°, intensity 48
38.31°, intensity 39
32.41°, intensity 38
53.48°, intensity 18
51.04°, intensity 17

Unit cell a=9.8069 b=9.8069 c=9.8069 alpha=135.47 beta=135.47 gamma=64.79
Fractional positions:
Tl (0.0081, 0.5081, 0.8144)
Tl (0.1937, 0.0081, 0.5000)
Tl (0.3063, 0.8063, 0.8144)
Tl (0.4919, 0.3063, 0.5000)
Tl (0.5081, 0.6937, 0.5000)
Tl (0.6937, 0.1937, 0.1856)
Tl (0.8063, 0.9919, 0.5000)
Tl (0.9919, 0.4919, 0.1856)
Au (0.0000, 0.0000, 0.0000)
Au (0.5000, 0.5000, 0.0000)
Se (0.1777, 0.3223, 0.5000)
Se (0.2500, 0.2500, 0.0000)
Se (0.3223, 0.8223, 0.1445)
Se (0.6777, 0.1777, 0.8555)
Se (0.7500, 0.7500, 0.0000)
Se (0.8223, 0.6777, 0.5000)

***

Diffraction record for La5TbDy8. The PXRD pattern is simulated, not measured: it uses a cell relaxed with PBE and Cu Kα.
No peak broadening, texture or thermal motion is included.

Principal peaks in the range 10° ≤ 2θ ≤ 90°, in order of falling intensity:
31.25°, intensity 100
31.36°, intensity 98
31.52°, intensity 92
31.64°, intensity 83
31.13°, intensity 83
29.97°, intensity 68

Unit cell a=8.8808 b=8.8808 c=15.1055 alpha=90.53 beta=90.53 gamma=23.23
Fractional positions:
La (0.0000, 0.0000, 0.0000)
La (0.2585, 0.2585, 0.4888)
La (0.5642, 0.5642, 0.4251)
La (0.6778, 0.6778, 0.0608)
La (0.9242, 0.9242, 0.5661)
Tb (0.8241, 0.8241, 0.9094)
Dy (0.1023, 0.1023, 0.6366)
Dy (0.1537, 0.1537, 0.8496)
Dy (0.1968, 0.1968, 0.2676)
Dy (0.3480, 0.3480, 0.1151)
Dy (0.4676, 0.4676, 0.7782)
Dy (0.5256, 0.5256, 0.2040)
Dy (0.7687, 0.7687, 0.7006)
Dy (0.8793, 0.8793, 0.3209)